This entry pairs a crystal structure of Li4VTeW2O12 with its theoretical X-ray diffraction stick pattern. Radiation: Cu Kα. Structure: a structure optimized by DFT (PBE+U).
Neutral-atom scattering factors, no anomalous dispersion.

Largest 8 diffraction maxima, low angle first, 10° ≤ 2θ ≤ 90°:
2theta, I_rel
20.75, 17
23.00, 53
23.58, 100
31.82, 22
31.96, 21
32.38, 21
34.29, 14
42.23, 15

Structural model:
a b c (Å): 5.160 5.563 7.781
angles (deg): 96.24 90.44 90.16
Element x y z (fractional)
Li 0.000 0.000 0.000
Li 0.009 0.003 0.538
Li 0.490 0.515 0.534
Li 0.513 0.486 0.999
V 0.991 0.428 0.789
Te 0.503 0.951 0.294
W 0.007 0.431 0.290
W 0.510 0.925 0.807
O 0.137 0.423 0.072
O 0.155 0.709 0.400
O 0.210 0.113 0.763
O 0.306 0.619 0.768
O 0.308 0.241 0.388
O 0.372 0.938 0.058
O 0.644 0.885 0.587
O 0.682 0.545 0.248
O 0.716 0.208 0.881
O 0.791 0.713 0.888
O 0.852 0.091 0.255
O 0.879 0.392 0.575


This entry pairs a crystal structure of LiVTeW2O12 with its theoretical X-ray diffraction stick pattern. Radiation: Cu Kα. Structure: a structure optimized by DFT (PBE+U).
Neutral-atom scattering factors, no anomalous dispersion.

Largest 8 diffraction maxima, low angle first, 10° ≤ 2θ ≤ 90°:
2theta, I_rel
20.91, 20
23.87, 100
24.05, 50
33.39, 16
33.57, 31
34.63, 23
34.75, 12
48.86, 17

Structural model:
a b c (Å): 5.164 5.347 7.472
angles (deg): 87.31 89.82 89.61
Element x y z (fractional)
Li 0.000 0.000 0.000
V 0.000 0.557 0.803
Te 0.494 0.027 0.272
W 0.498 0.057 0.765
W 0.999 0.524 0.300
O 0.093 0.530 0.530
O 0.188 0.835 0.214
O 0.195 0.229 0.830
O 0.274 0.741 0.827
O 0.294 0.327 0.219
O 0.388 0.028 0.521
O 0.615 0.025 0.028
O 0.691 0.727 0.329
O 0.707 0.324 0.730
O 0.784 0.817 0.740
O 0.796 0.225 0.328
O 0.907 0.531 0.027